1.
Ca12PrSn4N3: simulated powder XRD pattern (copper Kα), based on DFT lattice parameters and positions (GGA-PBE).
Intensities are scaled so that the largest is 1000.

Cell: 8.7806 8.7806 8.7806 Å, 109.47 109.47 109.47°
Atoms (fractional coordinates):
Ca 0.0000 0.2838 0.2838
Ca 0.0000 0.7162 0.7162
Ca 0.2500 0.5000 0.7500
Ca 0.2500 0.7500 0.5000
Ca 0.2838 0.0000 0.2838
Ca 0.2838 0.2838 0.0000
Ca 0.5000 0.2500 0.7500
Ca 0.5000 0.7500 0.2500
Ca 0.7162 0.0000 0.7162
Ca 0.7162 0.7162 0.0000
Ca 0.7500 0.2500 0.5000
Ca 0.7500 0.5000 0.2500
Pr 0.0000 0.0000 0.0000
Sn 0.0000 0.0000 0.5000
Sn 0.0000 0.5000 0.0000
Sn 0.5000 0.0000 0.0000
Sn 0.5000 0.5000 0.5000
N 0.0000 0.5000 0.5000
N 0.5000 0.0000 0.5000
N 0.5000 0.5000 0.0000

Peak list (10 most intense, 10 to 80 degrees two-theta, sorted by position)
24.84 deg, d 3.585, I = 995
30.54 deg, d 2.927, I = 942
33.06 deg, d 2.710, I = 207
35.41 deg, d 2.535, I = 1000
43.74 deg, d 2.070, I = 408
50.95 deg, d 1.792, I = 647
57.49 deg, d 1.603, I = 248
60.58 deg, d 1.529, I = 336
63.58 deg, d 1.463, I = 206
69.36 deg, d 1.355, I = 264

=====

2.
DyY2Ho2Er4: simulated powder XRD pattern (copper Kα), based on DFT lattice parameters and positions (GGA-PBE).
Intensities are scaled so that the largest is 1000.

Cell: 9.4179 9.4179 9.4535 Å, 115.28 115.28 21.79°
Atoms (fractional coordinates):
Dy 0.0000 0.0000 0.0000
Y 0.1474 0.1474 0.6653
Y 0.8526 0.8526 0.3347
Ho 0.3333 0.3333 0.9979
Ho 0.6667 0.6667 0.0021
Er 0.1851 0.1851 0.3349
Er 0.4813 0.4813 0.6671
Er 0.5187 0.5187 0.3329
Er 0.8149 0.8149 0.6651

Peak list (10 most intense, 10 to 80 degrees two-theta, sorted by position)
29.17 deg, d 3.061, I = 409
31.53 deg, d 2.838, I = 490
32.24 deg, d 2.776, I = 1000
33.96 deg, d 2.640, I = 882
40.68 deg, d 2.218, I = 161
51.33 deg, d 1.780, I = 376
55.46 deg, d 1.657, I = 212
58.82 deg, d 1.570, I = 185
61.49 deg, d 1.508, I = 436
61.92 deg, d 1.499, I = 154

=====

3.
IrRu3Rh2: simulated powder XRD pattern (copper Kα), based on DFT lattice parameters and positions (GGA-PBE).
Intensities are scaled so that the largest is 1000.

Cell: 7.6705 2.7095 8.1513 Å, 90.00 90.02 90.00°
Atoms (fractional coordinates):
Ir 0.1246 0.2500 0.2535
Ir 0.8754 0.7500 0.7465
Ru 0.1227 0.2500 0.5837
Ru 0.3760 0.7500 0.7544
Ru 0.3778 0.7500 0.0809
Ru 0.6222 0.2500 0.9191
Ru 0.6240 0.2500 0.2456
Ru 0.8773 0.7500 0.4163
Rh 0.1276 0.2500 0.9135
Rh 0.3759 0.7500 0.4157
Rh 0.6241 0.2500 0.5843
Rh 0.8724 0.7500 0.0865

Peak list (10 most intense, 10 to 80 degrees two-theta, sorted by position)
11.54 deg, d 7.671, I = 32
15.87 deg, d 5.586, I = 32
21.81 deg, d 4.076, I = 17
24.73 deg, d 3.599, I = 16
25.67 deg, d 3.470, I = 22
40.73 deg, d 2.215, I = 1000
47.39 deg, d 1.918, I = 483
69.15 deg, d 1.359, I = 51
69.28 deg, d 1.356, I = 203
69.37 deg, d 1.355, I = 51